[1]
Diffraction record for Li2Cu3F9. The powder diffractogram is calculated, not measured: it uses the GGA-PBE geometry in the Materials Project and copper Kα.

Cell and atoms:
Cell lengths 5.9074, 7.6219, 8.0859 Å; angles 106.37, 94.78, 100.95 degrees
Fractional coordinates of all 28 atoms:
1 Li 0.1261 0.2378 0.0771
2 Li 0.1267 0.4469 0.8433
3 Li 0.8733 0.5531 0.1567
4 Li 0.8739 0.7622 0.9229
5 Cu 0.2511 0.0114 0.5028
6 Cu 0.2575 0.5238 0.5117
7 Cu 0.4360 0.8194 0.0382
8 Cu 0.5640 0.1806 0.9618
9 Cu 0.7425 0.4762 0.4883
10 Cu 0.7489 0.9886 0.4972
11 F 0.0256 0.0558 0.6681
12 F 0.1305 0.6769 0.0397
13 F 0.1407 0.4363 0.2789
14 F 0.1741 0.7416 0.5105
15 F 0.2808 0.0176 0.0100
16 F 0.3352 0.2992 0.5098
17 F 0.3458 0.6131 0.7471
18 F 0.3516 0.3254 0.9364
19 F 0.4688 0.9473 0.3339
20 F 0.5312 0.0527 0.6661
21 F 0.6484 0.6746 0.0636
22 F 0.6542 0.3869 0.2529
23 F 0.6648 0.7008 0.4902
24 F 0.7192 0.9824 0.9900
25 F 0.8259 0.2584 0.4895
26 F 0.8593 0.5637 0.7211
27 F 0.8695 0.3231 0.9603
28 F 0.9744 0.9442 0.3319

The 10 most intense peaks (2θ from 10° to 90°), low angle first:
Position (°2θ)  I/Imax
11.53  42
15.44  18
23.18  100
24.12  82
24.98  14
31.67  29
36.27  14
44.46  23
47.37  16
51.19  15

=====

[2]
Diffraction record for Sr2CuH6O6. The powder diffractogram is calculated, not measured: it uses the GGA-PBE geometry in the Materials Project and copper Kα.

Cell and atoms:
Cell lengths 5.8157, 6.2517, 9.8160 Å; angles 90.00, 123.80, 90.00 degrees
Fractional coordinates of all 30 atoms:
1 Sr 0.2057 0.0754 0.2489
2 Sr 0.2057 0.4246 0.7489
3 Sr 0.7943 0.5754 0.2511
4 Sr 0.7943 0.9246 0.7511
5 Cu 0.5000 0.0000 0.0000
6 Cu 0.5000 0.5000 0.5000
7 H 0.1820 0.1669 0.5191
8 H 0.1820 0.3331 0.0191
9 H 0.2155 0.7225 0.0146
10 H 0.2155 0.7775 0.5146
11 H 0.2392 0.5734 0.2040
12 H 0.2392 0.9266 0.7040
13 H 0.7608 0.0734 0.2960
14 H 0.7608 0.4266 0.7960
15 H 0.7845 0.2225 0.4854
16 H 0.7845 0.2775 0.9854
17 H 0.8180 0.6669 0.9809
18 H 0.8180 0.8331 0.4809
19 O 0.0395 0.2457 0.9281
20 O 0.0395 0.2543 0.4281
21 O 0.2987 0.7254 0.9496
22 O 0.2987 0.7746 0.4496
23 O 0.3840 0.0364 0.7691
24 O 0.3840 0.4636 0.2691
25 O 0.6160 0.5364 0.7309
26 O 0.6160 0.9636 0.2309
27 O 0.7013 0.2254 0.5504
28 O 0.7013 0.2746 0.0504
29 O 0.9605 0.7457 0.5719
30 O 0.9605 0.7543 0.0719

The 10 most intense peaks (2θ from 10° to 90°), low angle first:
Position (°2θ)  I/Imax
17.88  29
19.14  30
29.85  73
30.63  28
30.82  100
35.39  42
42.48  20
44.40  35
47.51  20
47.85  19

=====

[3]
Diffraction record for HgAu2F8. The powder diffractogram is calculated, not measured: it uses the GGA-PBE geometry in the Materials Project and copper Kα.

Cell and atoms:
Cell lengths 5.9256, 5.9256, 10.6729 Å; angles 90.00, 90.00, 90.00 degrees
Fractional coordinates of all 22 atoms:
1 Hg 0.0000 0.0000 0.2500
2 Hg 0.0000 0.0000 0.7500
3 Au 0.0000 0.5000 0.0000
4 Au 0.0000 0.5000 0.5000
5 Au 0.5000 0.0000 0.0000
6 Au 0.5000 0.0000 0.5000
7 F 0.1506 0.3130 0.1281
8 F 0.1506 0.3130 0.8719
9 F 0.1506 0.6870 0.3719
10 F 0.1506 0.6870 0.6281
11 F 0.3130 0.1506 0.3719
12 F 0.3130 0.1506 0.6281
13 F 0.3130 0.8494 0.1281
14 F 0.3130 0.8494 0.8719
15 F 0.6870 0.1506 0.1281
16 F 0.6870 0.1506 0.8719
17 F 0.6870 0.8494 0.3719
18 F 0.6870 0.8494 0.6281
19 F 0.8494 0.3130 0.3719
20 F 0.8494 0.3130 0.6281
21 F 0.8494 0.6870 0.1281
22 F 0.8494 0.6870 0.8719

The 10 most intense peaks (2θ from 10° to 90°), low angle first:
Position (°2θ)  I/Imax
14.95  26
21.20  14
22.42  18
27.06  100
30.16  28
43.18  16
45.76  32
51.70  35
55.79  13
56.18  14

=====

[4]
Diffraction record for HoErHg2. The powder diffractogram is calculated, not measured: it uses the GGA-PBE geometry in the Materials Project and copper Kα.

Cell and atoms:
Cell lengths 5.2370, 5.2370, 5.2370 Å; angles 60.00, 60.00, 60.00 degrees
Fractional coordinates of all 4 atoms:
1 Ho 0.0000 0.0000 0.0000
2 Er 0.5000 0.5000 0.5000
3 Hg 0.2500 0.2500 0.2500
4 Hg 0.7500 0.7500 0.7500

The 7 most intense peaks (2θ from 10° to 90°), low angle first:
Position (°2θ)  I/Imax
24.03  1
34.24  100
49.21  18
55.49  1
61.32  38
72.15  12
82.34  17

=====

[5]
Diffraction record for LiMg14Ga. The powder diffractogram is calculated, not measured: it uses the GGA-PBE geometry in the Materials Project and copper Kα.

Cell and atoms:
Cell lengths 6.2892, 6.2892, 10.3584 Å; angles 90.00, 90.00, 120.00 degrees
Fractional coordinates of all 16 atoms:
1 Li 0.0000 0.0000 0.0000
2 Mg 0.0003 0.5002 0.0000
3 Mg 0.9996 0.4998 0.5000
4 Mg 0.1657 0.3314 0.2505
5 Mg 0.1657 0.3314 0.7495
6 Mg 0.1657 0.8343 0.2505
7 Mg 0.1657 0.8343 0.7495
8 Mg 0.4998 0.9997 0.0000
9 Mg 0.5002 0.0004 0.5000
10 Mg 0.4998 0.5002 0.0000
11 Mg 0.5002 0.4998 0.5000
12 Mg 0.6667 0.3333 0.2493
13 Mg 0.6667 0.3333 0.7507
14 Mg 0.6686 0.8343 0.2505
15 Mg 0.6686 0.8343 0.7495
16 Ga 0.0000 0.0000 0.5000

The 10 most intense peaks (2θ from 10° to 90°), low angle first:
Position (°2θ)  I/Imax
18.40  19
29.69  6
32.89  24
34.64  27
37.31  100
48.51  15
58.72  17
63.84  19
70.00  19
71.66  13

=====

[6]
Diffraction record for CrN2. The powder diffractogram is calculated, not measured: it uses the GGA-PBE geometry in the Materials Project and copper Kα.

Cell and atoms:
Cell lengths 7.7779, 7.7779, 7.8043 Å; angles 104.45, 104.45, 119.92 degrees
Fractional coordinates of all 24 atoms:
1 Cr 0.1521 0.8380 0.9628
2 Cr 0.1620 0.8479 0.5372
3 Cr 0.2507 0.4659 0.9261
4 Cr 0.4659 0.2507 0.4261
5 Cr 0.5341 0.7493 0.5739
6 Cr 0.7493 0.5341 0.0739
7 Cr 0.8380 0.1521 0.4628
8 Cr 0.8479 0.1620 0.0372
9 N 0.0877 0.3072 0.6747
10 N 0.1018 0.3364 0.0420
11 N 0.1242 0.8758 0.7500
12 N 0.2842 0.7153 0.9795
13 N 0.2847 0.7158 0.5205
14 N 0.3072 0.0877 0.1747
15 N 0.3364 0.1018 0.5420
16 N 0.5000 0.5000 0.0000
17 N 0.5000 0.5000 0.5000
18 N 0.6636 0.8982 0.4580
19 N 0.6928 0.9123 0.8253
20 N 0.7153 0.2842 0.4795
21 N 0.7158 0.2847 0.0205
22 N 0.8758 0.1242 0.2500
23 N 0.8982 0.6636 0.9580
24 N 0.9123 0.6928 0.3253

The 10 most intense peaks (2θ from 10° to 90°), low angle first:
Position (°2θ)  I/Imax
23.76  47
26.40  100
26.48  33
29.61  9
30.35  16
37.72  11
40.67  15
45.07  8
48.71  7
63.66  8

=====

[7]
Diffraction record for Ho7Co6Sn23. The powder diffractogram is calculated, not measured: it uses the GGA-PBE geometry in the Materials Project and copper Kα.

Cell and atoms:
Cell lengths 9.7054, 9.7054, 9.9315 Å; angles 90.00, 90.00, 120.00 degrees
Fractional coordinates of all 36 atoms:
1 Ho 0.0000 0.0000 0.0000
2 Ho 0.0427 0.5214 0.3072
3 Ho 0.4786 0.5214 0.3072
4 Ho 0.4786 0.9573 0.3072
5 Ho 0.5214 0.0427 0.6928
6 Ho 0.5214 0.4786 0.6928
7 Ho 0.9573 0.4786 0.6928
8 Co 0.1680 0.3360 0.8024
9 Co 0.1680 0.8320 0.8024
10 Co 0.3360 0.1680 0.1976
11 Co 0.6640 0.8320 0.8024
12 Co 0.8320 0.1680 0.1976
13 Co 0.8320 0.6640 0.1976
14 Sn 0.0000 0.0000 0.5000
15 Sn 0.0000 0.3467 0.0000
16 Sn 0.0000 0.6533 0.0000
17 Sn 0.1175 0.2350 0.2741
18 Sn 0.1175 0.8825 0.2741
19 Sn 0.2182 0.4364 0.5474
20 Sn 0.2182 0.7818 0.5474
21 Sn 0.2350 0.1175 0.7259
22 Sn 0.3333 0.6667 0.1162
23 Sn 0.3333 0.6667 0.8200
24 Sn 0.3467 0.0000 0.0000
25 Sn 0.3467 0.3467 0.0000
26 Sn 0.4364 0.2182 0.4526
27 Sn 0.5636 0.7818 0.5474
28 Sn 0.6533 0.0000 0.0000
29 Sn 0.6533 0.6533 0.0000
30 Sn 0.6667 0.3333 0.1800
31 Sn 0.6667 0.3333 0.8838
32 Sn 0.7650 0.8825 0.2741
33 Sn 0.7818 0.2182 0.4526
34 Sn 0.7818 0.5636 0.4526
35 Sn 0.8825 0.1175 0.7259
36 Sn 0.8825 0.7650 0.7259

The 10 most intense peaks (2θ from 10° to 90°), low angle first:
Position (°2θ)  I/Imax
32.75  18
33.23  100
33.49  64
34.49  53
36.83  46
37.05  29
37.78  23
41.42  17
56.93  23
60.82  24